Diffraction record for Sr5VN4F2. The powder diffractogram is simulated, not measured: it uses a structure optimized by DFT (GGA+U) and λ = 1.5418 Å (Cu Kα).
Neutral-atom scattering factors, no anomalous dispersion.

Main lines, low angle first (10° ≤ 2θ ≤ 80°):
2θ/deg	Rel. int.
29.47	43
29.71	79
30.15	34
30.79	100
38.41	13
39.46	20
42.66	54
49.31	13
52.42	16
53.11	22
54.63	26
59.27	21

```
12
Lattice="7.393 0.000 0.000 0.000 4.962 3.031 0.000 -4.962 3.031" Properties=species:S:1:pos:R:3 pbc="T T T"
Sr 0.000 0.000 0.000
Sr 2.038 -1.764 2.991
Sr 2.038 1.764 2.991
Sr 5.355 -1.764 2.991
Sr 5.355 1.764 2.991
V 3.696 0.000 0.012
N 2.195 0.000 1.119
N 3.696 -1.529 4.981
N 3.696 1.529 4.981
N 5.198 0.000 1.119
F 0.000 -2.708 1.757
F 0.000 2.708 1.757
```